1.
Starting from the PBE geometry in Alexandria, the X-ray diffraction stick pattern of CsBiH was calculated for copper Kα.

Top 10 peaks for 10° ≤ 2θ ≤ 90°, sorted by position:
2θ/deg	I_rel	h k l
14.33	141	0 0 2
21.56	185	0 0 3
23.75	1000	1 0 1
27.52	157	0 1 3
29.14	212	1 1 3
38.05	363	2 1 0
38.41	179	1 0 4
44.21	113	2 1 -3
45.40	121	2 2 2
47.26	129	1 1 6

Structure:
```
data_CsBiH
_chemical_formula_sum 'Cs2 Bi2 H2'
_cell_length_a 4.7249
_cell_length_b 4.7317
_cell_length_c 12.6493
_cell_angle_alpha 79.45
_cell_angle_beta 89.96
_cell_angle_gamma 60.06
_symmetry_space_group_name_H-M 'P 1'
_symmetry_Int_Tables_number 1
_symmetry_space_group_name_Hall 'P 1'
loop_
_atom_site_label
_atom_site_type_symbol
_atom_site_fract_x
_atom_site_fract_y
_atom_site_fract_z
_atom_site_occupancy
Cs1 Cs 0.0000 0.0000 0.0000 1
Cs2 Cs 0.2394 0.5226 0.7078 1
Bi1 Bi 0.4722 0.0546 0.4160 1
Bi2 Bi 0.7652 0.4687 0.2922 1
H1 H 0.3173 0.3654 0.9520 1
H2 H 0.9218 0.1575 0.7557 1
```

***

2.
Starting from the PBE geometry in Alexandria, the X-ray diffraction stick pattern of Cs12BiH4 was calculated for copper Kα.

Top 10 peaks for 10° ≤ 2θ ≤ 90°, sorted by position:
2θ/deg	I_rel	h k l
10.03	418	1 1 0
22.55	767	3 0 1
24.74	952	2 2 2
26.76	1000	3 1 2
28.64	404	4 0 0
36.76	203	4 1 3
42.27	503	5 3 0
44.82	562	5 2 3
51.86	340	5 3 4
66.20	204	7 5 2

Structure:
```
data_Cs12BiH4
_chemical_formula_sum 'Cs24 Bi2 H8'
_cell_length_a 12.4669
_cell_length_b 12.4669
_cell_length_c 12.4669
_cell_angle_alpha 90.00
_cell_angle_beta 90.00
_cell_angle_gamma 90.00
_symmetry_space_group_name_H-M 'I m -3'
_symmetry_Int_Tables_number 204
_symmetry_space_group_name_Hall '-I 2 2 3'
loop_
_atom_site_label
_atom_site_type_symbol
_atom_site_fract_x
_atom_site_fract_y
_atom_site_fract_z
_atom_site_occupancy
Cs1 Cs 0.0000 0.2822 0.1913 1
Bi1 Bi 0.0000 0.0000 0.0000 1
H1 H 0.2500 0.2500 0.2500 1
```

***

3.
Starting from the PBE geometry in Alexandria, the X-ray diffraction stick pattern of Cs2HfBi2 was calculated for copper Kα.

Top 10 peaks for 10° ≤ 2θ ≤ 90°, sorted by position:
2θ/deg	I_rel	h k l
20.93	409	1 0 5
23.44	203	1 0 7
25.87	393	1 1 2
26.44	1000	1 0 9
28.63	325	1 1 6
33.53	287	1 1 10
36.38	508	2 0 0
45.53	467	2 1 9
47.23	255	1 1 18
52.39	181	2 2 0

Structure:
```
data_Cs2HfBi2
_chemical_formula_sum 'Cs8 Hf4 Bi8'
_cell_length_a 4.9392
_cell_length_b 4.9392
_cell_length_c 41.5076
_cell_angle_alpha 90.00
_cell_angle_beta 90.00
_cell_angle_gamma 90.00
_symmetry_space_group_name_H-M 'I 41/a m d'
_symmetry_Int_Tables_number 141
loop_
_symmetry_equiv_pos_as_xyz
'x,y,z'
'-x,-y,-z'
'-y+1/4,x+3/4,z+1/4'
'y+1/4,-x+3/4,-z+1/4'
'-x+1/2,-y,z+1/2'
'x+1/2,y,-z+1/2'
'y+1/4,-x+1/4,z+3/4'
'-y+1/4,x+1/4,-z+3/4'
'x,-y,-z'
'-x,y,z'
'-y+1/4,-x+1/4,-z+3/4'
'y+1/4,x+1/4,z+3/4'
'-x+1/2,y,-z+1/2'
'x+1/2,-y,z+1/2'
'y+1/4,x+3/4,-z+1/4'
'-y+1/4,-x+3/4,z+1/4'
'x+1/2,y+1/2,z+1/2'
'-x+1/2,-y+1/2,-z+1/2'
'-y+3/4,x+1/4,z+3/4'
'y+3/4,-x+1/4,-z+3/4'
'-x,-y+1/2,z'
'x,y+1/2,-z'
'y+3/4,-x+3/4,z+1/4'
'-y+3/4,x+3/4,-z+1/4'
'x+1/2,-y+1/2,-z+1/2'
'-x+1/2,y+1/2,z+1/2'
'-y+3/4,-x+3/4,-z+1/4'
'y+3/4,x+3/4,z+1/4'
'-x,y+1/2,-z'
'x,-y+1/2,z'
'y+3/4,x+1/4,-z+3/4'
'-y+3/4,-x+1/4,z+3/4'
loop_
_atom_site_label
_atom_site_type_symbol
_atom_site_fract_x
_atom_site_fract_y
_atom_site_fract_z
_atom_site_occupancy
Cs1 Cs 0.0000 0.2500 0.0473 1
Hf1 Hf 0.0000 0.2500 0.3750 1
Bi1 Bi 0.0000 0.2500 0.1615 1
```